Diffraction record for Zn4CuIr3. The powder diffractogram is simulated, not measured: it uses a structure optimized by DFT (GGA-PBE) and Cu Kα, 1.54184 Å.
No peak broadening, texture or thermal motion is included.

Main lines, in order of rising 2θ (10 to 80 degrees two-theta):
2theta  Rel. int.
14.6  4
22.1  6
29.6  19
42.3  100
52.4  5
61.2  5
61.4  11
69.6  5
77.2  11
77.4  22

Atomic structure:
Unit cell a=6.7687 b=6.7687 c=6.7687 alpha=143.22 beta=143.22 gamma=52.99
Fractional positions:
Zn (0.1243, 0.6243, 0.5000)
Zn (0.3757, 0.8757, 0.5000)
Zn (0.6243, 0.1243, 0.5000)
Zn (0.8757, 0.3757, 0.5000)
Cu (0.0000, 0.0000, 0.0000)
Ir (0.2519, 0.2519, 0.0000)
Ir (0.5000, 0.5000, 0.0000)
Ir (0.7481, 0.7481, 0.0000)